Entry 1:
Simulated powder X-ray diffraction pattern of Hg5Cl for Cu Kα, 1.54184 Å, from a DFT-relaxed cell (PBE, Alexandria).

Unit cell a=7.4243 b=13.0329 c=4.3395 alpha=90.00 beta=122.66 gamma=90.00
Atoms (fractional coordinates):
Hg 0.0000 0.0000 0.0000
Hg 0.0000 0.1611 0.5000
Hg 0.0000 0.3313 0.0000
Hg 0.0000 0.6687 0.0000
Hg 0.0000 0.8389 0.5000
Hg 0.5000 0.1687 0.0000
Hg 0.5000 0.3389 0.5000
Hg 0.5000 0.5000 0.0000
Hg 0.5000 0.6611 0.5000
Hg 0.5000 0.8313 0.0000
Cl 0.0000 0.5000 0.5000
Cl 0.5000 0.0000 0.5000

Peak list (8 most intense, 2θ = 5–70°, by angle)
| d (Å) | 2θ (°) | I/Imax | index |
| --- | --- | --- | --- |
| 3.125 | 28.56 | 52 | 2 0 0 |
| 3.068 | 29.11 | 100 | 1 3 -1 |
| 2.232 | 40.42 | 42 | 1 3 1 |
| 2.172 | 41.58 | 19 | 0 6 0 |
| 2.167 | 41.69 | 19 | 2 0 -2 |
| 2.149 | 42.04 | 37 | 3 3 -1 |
| 1.784 | 51.22 | 22 | 2 6 0 |
| 1.371 | 68.42 | 18 | 5 3 -1 |

Entry 2:
Simulated powder X-ray diffraction pattern of CePr2DyN4 for Cu Kα, 1.54184 Å, from a DFT-relaxed cell (PBE, Alexandria).

Unit cell a=6.2082 b=3.6015 c=6.2452 alpha=90.00 beta=109.25 gamma=90.00
Atoms (fractional coordinates):
Ce 0.0000 0.0000 0.0000
Pr 0.0000 0.5000 0.5000
Pr 0.5000 0.0000 0.5000
Dy 0.5000 0.5000 0.0000
N 0.2426 0.5000 0.2314
N 0.2525 0.0000 0.7678
N 0.7475 0.0000 0.2322
N 0.7574 0.5000 0.7686

Peak list (8 most intense, 2θ = 5–70°, by angle)
| d (Å) | 2θ (°) | I/Imax | index |
| --- | --- | --- | --- |
| 2.948 | 30.32 | 34 | 0 0 2 |
| 2.935 | 30.45 | 100 | 2 0 0 |
| 2.548 | 35.22 | 66 | 1 1 1 |
| 2.538 | 35.36 | 33 | 2 0 -2 |
| 1.802 | 50.66 | 46 | 0 2 0 |
| 1.794 | 50.89 | 23 | 3 1 -1 |
| 1.538 | 60.17 | 21 | 1 1 3 |
| 1.534 | 60.32 | 25 | 2 0 -4 |